Record 1
Simulated X-ray powder pattern
Compound: GeAu15
Radiation: a wavelength of 1.5418 Å
Structure: a DFT-relaxed cell (GGA-PBE, OQMD)

The 6 most intense peaks (15 to 90 degrees two-theta), by angle:
| Position (°2θ) | I/Imax |
| --- | --- |
| 37.18 | 100 |
| 37.34 | 99 |
| 38.33 | 28 |
| 42.09 | 32 |
| 43.89 | 76 |
| 62.43 | 39 |

Atomic structure:
Unit cell a=5.819 b=2.926 c=47.228 alpha=90.00 beta=90.10 gamma=90.00
Fractional positions:
Ge1 0.126 0.250 0.165
Ge2 0.874 0.750 0.835
Au1 0.120 0.250 0.792
Au2 0.125 0.250 0.254
Au3 0.125 0.250 0.344
Au4 0.125 0.250 0.433
Au5 0.125 0.250 0.522
Au6 0.125 0.250 0.701
Au7 0.126 0.250 0.612
Au8 0.370 0.750 0.208
Au9 0.375 0.750 0.299
Au10 0.375 0.750 0.478
Au11 0.375 0.750 0.567
Au12 0.375 0.750 0.657
Au13 0.375 0.750 0.747
Au14 0.375 0.750 0.836
Au15 0.376 0.750 0.388
Au16 0.624 0.250 0.612
Au17 0.625 0.250 0.164
Au18 0.625 0.250 0.253
Au19 0.625 0.250 0.343
Au20 0.625 0.250 0.433
Au21 0.625 0.250 0.522
Au22 0.625 0.250 0.701
Au23 0.630 0.250 0.792
Au24 0.874 0.750 0.388
Au25 0.875 0.750 0.299
Au26 0.875 0.750 0.478
Au27 0.875 0.750 0.567
Au28 0.875 0.750 0.656
Au29 0.875 0.750 0.746
Au30 0.880 0.750 0.208

***

Record 2
Simulated X-ray powder pattern
Compound: Ge2Au7
Radiation: a wavelength of 1.5418 Å
Structure: a DFT-relaxed cell (GGA-PBE, OQMD)

The 6 most intense peaks (15 to 90 degrees two-theta), by angle:
| Position (°2θ) | I/Imax |
| --- | --- |
| 36.29 | 29 |
| 36.66 | 53 |
| 37.51 | 100 |
| 42.45 | 47 |
| 44.02 | 59 |
| 63.02 | 38 |

Atomic structure:
Unit cell a=2.951 b=2.951 c=34.654 alpha=90.00 beta=90.00 gamma=120.00
Fractional positions:
Ge1 0.333 0.667 0.226
Ge2 0.667 0.333 0.774
Au1 0.000 0.000 0.292
Au2 0.000 0.000 0.500
Au3 0.000 0.000 0.708
Au4 0.333 0.667 0.431
Au5 0.333 0.667 0.638
Au6 0.667 0.333 0.362
Au7 0.667 0.333 0.569

***

Record 3
Simulated X-ray powder pattern
Compound: HoLuGe2Au2
Radiation: a wavelength of 1.5418 Å
Structure: a DFT-relaxed cell (GGA-PBE, OQMD)

The 6 most intense peaks (15 to 90 degrees two-theta), by angle:
| Position (°2θ) | I/Imax |
| --- | --- |
| 26.18 | 35 |
| 34.00 | 100 |
| 40.48 | 75 |
| 44.35 | 22 |
| 53.87 | 27 |
| 69.50 | 34 |

Atomic structure:
Unit cell a=4.456 b=4.456 c=7.222 alpha=90.00 beta=90.00 gamma=120.00
Fractional positions:
Ho1 0.000 0.000 0.000
Lu1 0.000 0.000 0.499
Ge1 0.333 0.667 0.704
Ge2 0.667 0.333 0.208
Au1 0.333 0.667 0.300
Au2 0.667 0.333 0.792

***

Record 4
Simulated X-ray powder pattern
Compound: Y2HoGe4Au4
Radiation: a wavelength of 1.5418 Å
Structure: a DFT-relaxed cell (GGA-PBE, OQMD)

The 6 most intense peaks (15 to 90 degrees two-theta), by angle:
| Position (°2θ) | I/Imax |
| --- | --- |
| 20.60 | 23 |
| 32.63 | 30 |
| 32.99 | 100 |
| 41.28 | 26 |
| 43.73 | 26 |
| 44.15 | 22 |

Atomic structure:
Unit cell a=13.268 b=13.268 c=13.268 alpha=162.21 beta=161.02 gamma=26.12
Fractional positions:
Y1 0.148 0.148 0.000
Y2 0.852 0.852 0.000
Ho1 0.500 0.000 0.500
Ge1 0.047 0.547 0.500
Ge2 0.312 0.312 0.000
Ge3 0.688 0.688 0.000
Ge4 0.953 0.453 0.500
Au1 0.246 0.746 0.500
Au2 0.408 0.408 0.000
Au3 0.592 0.592 0.000
Au4 0.754 0.254 0.500

***

Record 5
Simulated X-ray powder pattern
Compound: YHoGe2Au2
Radiation: a wavelength of 1.5418 Å
Structure: a DFT-relaxed cell (GGA-PBE, OQMD)

The 6 most intense peaks (15 to 90 degrees two-theta), by angle:
| Position (°2θ) | I/Imax |
| --- | --- |
| 26.03 | 48 |
| 33.73 | 100 |
| 40.30 | 80 |
| 43.93 | 28 |
| 53.54 | 27 |
| 69.08 | 25 |

Atomic structure:
Unit cell a=4.476 b=4.476 c=7.300 alpha=90.00 beta=90.00 gamma=120.00
Fractional positions:
Y1 0.000 0.000 0.000
Ho1 0.000 0.000 0.500
Ge1 0.333 0.667 0.705
Ge2 0.667 0.333 0.208
Au1 0.333 0.667 0.293
Au2 0.667 0.333 0.786

***

Record 6
Simulated X-ray powder pattern
Compound: Li2InGeAu2
Radiation: a wavelength of 1.5418 Å
Structure: a DFT-relaxed cell (GGA-PBE, OQMD)

The 6 most intense peaks (15 to 90 degrees two-theta), by angle:
| Position (°2θ) | I/Imax |
| --- | --- |
| 22.12 | 95 |
| 26.87 | 45 |
| 30.39 | 60 |
| 37.91 | 56 |
| 38.82 | 100 |
| 50.08 | 90 |

Atomic structure:
Unit cell a=4.639 b=4.639 c=5.883 alpha=90.00 beta=90.00 gamma=120.00
Fractional positions:
Li1 0.000 0.000 0.239
Li2 0.000 0.000 0.761
In1 0.333 0.667 0.500
Ge1 0.667 0.333 0.000
Au1 0.333 0.667 0.000
Au2 0.667 0.333 0.500

***

Record 7
Simulated X-ray powder pattern
Compound: Na4InGeAu2
Radiation: a wavelength of 1.5418 Å
Structure: a DFT-relaxed cell (GGA-PBE, OQMD)

The 6 most intense peaks (15 to 90 degrees two-theta), by angle:
| Position (°2θ) | I/Imax |
| --- | --- |
| 22.10 | 100 |
| 36.38 | 96 |
| 36.69 | 47 |
| 42.70 | 18 |
| 43.25 | 36 |
| 65.86 | 33 |

Atomic structure:
Unit cell a=4.899 b=4.899 c=7.045 alpha=90.00 beta=90.00 gamma=90.00
Fractional positions:
Na1 0.000 0.000 0.000
Na2 0.000 0.500 0.734
Na3 0.500 0.000 0.266
Na4 0.500 0.500 0.500
In1 0.500 0.500 0.000
Ge1 0.000 0.000 0.500
Au1 0.000 0.500 0.260
Au2 0.500 0.000 0.740

***

Record 8
Simulated X-ray powder pattern
Compound: InGeAu3S4
Radiation: a wavelength of 1.5418 Å
Structure: a DFT-relaxed cell (GGA-PBE, OQMD)

The 6 most intense peaks (15 to 90 degrees two-theta), by angle:
| Position (°2θ) | I/Imax |
| --- | --- |
| 15.26 | 76 |
| 20.03 | 71 |
| 26.44 | 100 |
| 28.28 | 72 |
| 31.73 | 41 |
| 44.57 | 46 |

Atomic structure:
Unit cell a=6.135 b=7.171 c=10.080 alpha=90.00 beta=100.86 gamma=90.00
Fractional positions:
In1 0.149 0.250 0.374
In2 0.851 0.750 0.626
Ge1 0.071 0.250 0.767
Ge2 0.929 0.750 0.233
Au1 0.381 0.547 0.110
Au2 0.381 0.953 0.110
Au3 0.475 0.250 0.618
Au4 0.525 0.750 0.382
Au5 0.619 0.047 0.890
Au6 0.619 0.453 0.890
S1 0.068 0.750 0.037
S2 0.163 0.750 0.432
S3 0.272 0.511 0.748
S4 0.272 0.989 0.748
S5 0.728 0.011 0.252
S6 0.728 0.489 0.252
S7 0.837 0.250 0.568
S8 0.932 0.250 0.963